1.
The following is a simulated PXRD pattern of ZnCr3O7. It was derived from the GGA+U geometry in the Materials Project, using CuKα.

Most intense lines, 2θ = 10–90°, most intense first:
2θ/deg	intensity	index
29.93	100	2 2 1
25.84	74	2 1 1
17.81	48	2 0 0
25.50	40	1 2 1
24.83	40	2 2 0
61.11	26	6 2 1
35.80	26	2 3 1
52.39	24	2 4 2
48.83	22	0 4 2
30.80	22	0 3 1

Crystal structure
```
data_ZnCr3O7
_chemical_formula_sum 'Zn4 Cr12 O28'
_cell_length_a 9.959
_cell_length_b 10.338
_cell_length_c 5.388
_cell_angle_alpha 90.00
_cell_angle_beta 90.00
_cell_angle_gamma 90.00
_symmetry_space_group_name_H-M 'P n m a'
_symmetry_Int_Tables_number 62
loop_
_symmetry_equiv_pos_as_xyz
'x,y,z'
'-x,-y,-z'
'-x+1/2,-y,z+1/2'
'x+1/2,y,-z+1/2'
'x+1/2,-y+1/2,-z+1/2'
'-x+1/2,y+1/2,z+1/2'
'-x,y+1/2,-z'
'x,-y+1/2,z'
loop_
_atom_site_label
_atom_site_type_symbol
_atom_site_fract_x
_atom_site_fract_y
_atom_site_fract_z
Zn1 Zn 0.045 0.250 0.136
Cr1 Cr 0.191 0.523 0.708
Cr2 Cr 0.227 0.750 0.203
O1 O 0.035 0.589 0.725
O2 O 0.053 0.750 0.185
O3 O 0.213 0.119 0.949
O4 O 0.218 0.117 0.470
```


2.
The following is a simulated PXRD pattern of ZnCr2O4. It was derived from the GGA+U geometry in the Materials Project, using CuKα.

Most intense lines, 2θ = 10–90°, most intense first:
2θ/deg	intensity	index
32.76	100	0 2 3
42.63	53	1 3 1
45.60	40	1 3 2
33.14	29	1 1 1
36.75	27	1 1 2
63.40	27	2 0 0
56.72	21	1 1 5
60.25	19	1 5 2
37.19	18	0 4 0
73.18	17	2 2 3

Crystal structure
```
data_ZnCr2O4
_chemical_formula_sum 'Zn4 Cr8 O16'
_cell_length_a 2.936
_cell_length_b 9.671
_cell_length_c 9.941
_cell_angle_alpha 90.00
_cell_angle_beta 90.00
_cell_angle_gamma 90.00
_symmetry_space_group_name_H-M 'C m c m'
_symmetry_Int_Tables_number 63
_symmetry_space_group_name_Hall '-C 2c 2'
loop_
_atom_site_label
_atom_site_type_symbol
_atom_site_fract_x
_atom_site_fract_y
_atom_site_fract_z
Zn1 Zn 0.000 0.108 0.250
Cr1 Cr 0.000 0.367 0.071
O1 O 0.000 0.000 0.000
O2 O 0.000 0.269 0.611
O3 O 0.000 0.463 0.250
```